This entry pairs a crystal structure of Ac6Pm7Y16 with its computed powder XRD pattern. Radiation: CuKα. Structure: DFT lattice parameters and positions (GGA-PBE).

The 8 most intense peaks (10 to 90 degrees two-theta), low angle first:
- 15.34°, rel. 10
- 21.75°, rel. 12
- 26.73°, rel. 11
- 30.96°, rel. 100
- 44.35°, rel. 15
- 49.92°, rel. 12
- 55.06°, rel. 31
- 89.83°, rel. 15

abc: 11.5548 11.5548 11.5548
angles: 60.00 60.00 60.00
Positions (direct):
Ac1 0.2440 0.2440 0.7560
Ac2 0.2440 0.7560 0.2440
Ac3 0.2440 0.7560 0.7560
Ac4 0.7560 0.2440 0.2440
Ac5 0.7560 0.2440 0.7560
Ac6 0.7560 0.7560 0.2440
Pm1 0.0000 0.0000 0.5000
Pm2 0.0000 0.5000 0.0000
Pm3 0.0000 0.5000 0.5000
Pm4 0.5000 0.0000 0.0000
Pm5 0.5000 0.0000 0.5000
Pm6 0.5000 0.5000 0.0000
Pm7 0.5000 0.5000 0.5000
Y1 0.1078 0.6307 0.6307
Y2 0.1558 0.1558 0.1558
Y3 0.1558 0.1558 0.5325
Y4 0.1558 0.5325 0.1558
Y5 0.3693 0.3693 0.3693
Y6 0.3693 0.3693 0.8922
Y7 0.3693 0.8922 0.3693
Y8 0.4675 0.8442 0.8442
Y9 0.5325 0.1558 0.1558
Y10 0.6307 0.1078 0.6307
Y11 0.6307 0.6307 0.1078
Y12 0.6307 0.6307 0.6307
Y13 0.8442 0.4675 0.8442
Y14 0.8442 0.8442 0.4675
Y15 0.8442 0.8442 0.8442
Y16 0.8922 0.3693 0.3693